Entry 1:
Structure and calculated XRD peak list of ThCd3Au (a cell relaxed with GGA-PBE; λ = 1.5418 Å (Cu Kα)).
Intensities are scaled so that the largest is 100.

Structure:
a b c (Å): 9.317 4.246 12.257
angles (deg): 90.00 90.00 90.00
Space group Pnma (No. 62)
Symmetry-distinct sites (fractional):
Th 0.171 0.250 0.008 x4
Cd 0.067 0.250 0.403 x4
Cd 0.085 0.750 0.216 x4
Cd 0.146 0.750 0.797 x4
Au 0.142 0.250 0.625 x4

Principal peaks in the range 10 to 90 degrees two-theta, in order of rising 2θ:
28.44°, I = 24
31.88°, I = 100
32.04°, I = 89
37.95°, I = 36
38.81°, I = 28
42.58°, I = 41

***

Entry 2:
Structure and calculated XRD peak list of Ti3V3Ge5 (a cell relaxed with GGA-PBE; λ = 1.5418 Å (Cu Kα)).
Intensities are scaled so that the largest is 100.

Structure:
a b c (Å): 18.333 5.087 7.797
angles (deg): 90.00 115.08 90.00
Space group C2/m (No. 12)
Symmetry-distinct sites (fractional):
Ti 0.066 0.000 0.307 x4
Ti 0.142 0.500 0.532 x4
Ti 0.143 0.000 0.751 x4
V 0.065 0.500 0.822 x4
V 0.191 0.249 0.191 x8
Ge 0.000 0.253 0.500 x4
Ge 0.067 0.500 0.159 x4
Ge 0.069 0.000 0.971 x4
Ge 0.212 0.500 0.915 x4
Ge 0.215 0.000 0.512 x4

Principal peaks in the range 10 to 90 degrees two-theta, in order of rising 2θ:
38.26°, I = 55
38.80°, I = 50
39.75°, I = 78
40.46°, I = 100
40.72°, I = 93
42.44°, I = 49